Record 1
Starting from the GGA-PBE geometry in OQMD, the powder diffraction line list of LaSmIN was calculated for λ = 1.5418 Å (Cu Kα).
Lines closer than 0.1° are merged.

Largest 6 diffraction maxima, by intensity, 5° ≤ 2θ ≤ 70°:
2θ = 32.4°, I 100
2θ = 47.9°, I 24
2θ = 27.1°, I 23
2θ = 60.8°, I 20
2θ = 59.0°, I 18
2θ = 35.2°, I 16

Atomic structure:
Cell: 3.802 3.802 15.284 Å, 90.00 90.00 120.00°
Element x y z (fractional)
La  0.000  0.000  0.167
La  0.000  0.000  0.833
Sm  0.333  0.667  0.339
Sm  0.333  0.667  0.661
I  0.000  0.000  0.500
I  0.333  0.667  0.000
N  0.667  0.333  0.263
N  0.667  0.333  0.737

Record 2
Starting from the GGA-PBE geometry in OQMD, the powder diffraction line list of LaSmI2O2 was calculated for λ = 1.5418 Å (Cu Kα).
Lines closer than 0.1° are merged.

Largest 6 diffraction maxima, by intensity, 5° ≤ 2θ ≤ 70°:
2θ = 29.2°, I 100
2θ = 31.0°, I 43
2θ = 54.0°, I 35
2θ = 44.3°, I 20
2θ = 9.6°, I 17
2θ = 50.6°, I 16

Atomic structure:
Cell: 4.085 4.085 9.232 Å, 90.00 90.00 90.00°
Element x y z (fractional)
La  0.000  0.000  0.000
Sm  0.500  0.500  0.252
I  0.000  0.000  0.458
I  0.500  0.500  0.797
O  0.000  0.500  0.132
O  0.500  0.000  0.132

Record 3
Starting from the GGA-PBE geometry in OQMD, the powder diffraction line list of SrLa6OsI12 was calculated for λ = 1.5418 Å (Cu Kα).
Lines closer than 0.1° are merged.

Largest 6 diffraction maxima, by intensity, 5° ≤ 2θ ≤ 70°:
2θ = 27.5°, I 100
2θ = 38.6°, I 37
2θ = 39.9°, I 36
2θ = 9.9°, I 23
2θ = 10.9°, I 23
2θ = 49.1°, I 18

Atomic structure:
Cell: 10.179 10.179 10.179 Å, 106.46 106.46 106.46°
Element x y z (fractional)
Sr  0.000  0.000  0.000
La  0.198  0.401  0.477
La  0.401  0.477  0.198
La  0.477  0.198  0.401
La  0.523  0.802  0.599
La  0.599  0.523  0.802
La  0.802  0.599  0.523
Os  0.500  0.500  0.500
I  0.043  0.351  0.124
I  0.124  0.043  0.351
I  0.179  0.726  0.574
I  0.274  0.426  0.821
I  0.351  0.124  0.043
I  0.426  0.821  0.274
I  0.574  0.179  0.726
I  0.649  0.876  0.957
I  0.726  0.574  0.179
I  0.821  0.274  0.426
I  0.876  0.957  0.649
I  0.957  0.649  0.876

Record 4
Starting from the GGA-PBE geometry in OQMD, the powder diffraction line list of LiPm2I2 was calculated for λ = 1.5418 Å (Cu Kα).
Lines closer than 0.1° are merged.

Largest 6 diffraction maxima, by intensity, 5° ≤ 2θ ≤ 70°:
2θ = 29.2°, I 100
2θ = 33.9°, I 92
2θ = 24.2°, I 45
2θ = 45.3°, I 30
2θ = 57.8°, I 29
2θ = 60.6°, I 28

Atomic structure:
Cell: 5.295 5.295 12.294 Å, 90.00 90.00 120.00°
Element x y z (fractional)
Li  0.000  0.000  0.250
Li  0.000  0.000  0.750
Pm  0.000  0.000  0.000
Pm  0.000  0.000  0.500
Pm  0.333  0.667  0.250
Pm  0.667  0.333  0.750
I  0.333  0.667  0.601
I  0.333  0.667  0.899
I  0.667  0.333  0.101
I  0.667  0.333  0.399

Record 5
Starting from the GGA-PBE geometry in OQMD, the powder diffraction line list of LuI3 was calculated for λ = 1.5418 Å (Cu Kα).
Lines closer than 0.1° are merged.

Largest 6 diffraction maxima, by intensity, 5° ≤ 2θ ≤ 70°:
2θ = 27.2°, I 100
2θ = 34.9°, I 61
2θ = 43.3°, I 52
2θ = 17.5°, I 51
2θ = 35.5°, I 38
2θ = 27.9°, I 33

Atomic structure:
Cell: 7.158 7.158 12.943 Å, 90.00 90.00 90.00°
Element x y z (fractional)
Lu  0.000  0.000  0.169
Lu  0.000  0.000  0.831
Lu  0.500  0.500  0.331
Lu  0.500  0.500  0.669
I  0.200  0.200  0.000
I  0.204  0.204  0.335
I  0.204  0.204  0.665
I  0.296  0.704  0.165
I  0.296  0.704  0.835
I  0.300  0.700  0.500
I  0.700  0.300  0.500
I  0.704  0.296  0.165
I  0.704  0.296  0.835
I  0.796  0.796  0.335
I  0.796  0.796  0.665
I  0.800  0.800  0.000

Record 6
Starting from the GGA-PBE geometry in OQMD, the powder diffraction line list of TmLuI2O2 was calculated for λ = 1.5418 Å (Cu Kα).
Lines closer than 0.1° are merged.

Largest 6 diffraction maxima, by intensity, 5° ≤ 2θ ≤ 70°:
2θ = 9.0°, I 100
2θ = 30.8°, I 49
2θ = 28.8°, I 38
2θ = 31.9°, I 37
2θ = 34.9°, I 33
2θ = 25.8°, I 26

Atomic structure:
Cell: 10.088 10.088 7.564 Å, 93.89 93.89 22.77°
Element x y z (fractional)
Tm  0.197  0.197  0.114
Tm  0.803  0.803  0.886
Lu  0.197  0.197  0.616
Lu  0.803  0.803  0.384
I  0.078  0.078  0.344
I  0.399  0.399  0.150
I  0.601  0.601  0.850
I  0.922  0.922  0.656
O  0.255  0.255  0.380
O  0.255  0.255  0.871
O  0.745  0.745  0.129
O  0.745  0.745  0.620

Record 7
Starting from the GGA-PBE geometry in OQMD, the powder diffraction line list of LuTeI7 was calculated for λ = 1.5418 Å (Cu Kα).
Lines closer than 0.1° are merged.

Largest 6 diffraction maxima, by intensity, 5° ≤ 2θ ≤ 70°:
2θ = 25.3°, I 100
2θ = 21.4°, I 88
2θ = 26.0°, I 86
2θ = 14.2°, I 73
2θ = 43.4°, I 61
2θ = 24.2°, I 58

Atomic structure:
Cell: 7.694 7.543 16.675 Å, 90.00 103.08 90.00°
Element x y z (fractional)
Lu  0.000  0.003  0.000
Lu  0.000  0.997  0.500
Te  0.293  0.406  0.655
Te  0.293  0.594  0.155
I  0.187  0.382  0.271
I  0.187  0.618  0.771
I  0.344  0.133  0.501
I  0.344  0.867  0.001
I  0.503  0.167  0.764
I  0.503  0.833  0.264
I  0.567  0.390  0.122
I  0.567  0.610  0.622
I  0.761  0.154  0.365
I  0.761  0.846  0.865
I  0.940  0.137  0.649
I  0.940  0.863  0.149
I  0.975  0.375  0.994
I  0.975  0.625  0.494

Record 8
Starting from the GGA-PBE geometry in OQMD, the powder diffraction line list of TmLu6I was calculated for λ = 1.5418 Å (Cu Kα).
Lines closer than 0.1° are merged.

Largest 6 diffraction maxima, by intensity, 5° ≤ 2θ ≤ 70°:
2θ = 33.9°, I 100
2θ = 32.2°, I 25
2θ = 29.8°, I 24
2θ = 63.3°, I 22
2θ = 58.6°, I 21
2θ = 52.8°, I 19

Atomic structure:
Cell: 6.932 6.932 5.553 Å, 90.00 90.00 120.00°
Element x y z (fractional)
Tm  0.000  0.000  0.000
Lu  0.001  0.500  0.000
Lu  0.166  0.332  0.500
Lu  0.166  0.834  0.500
Lu  0.500  0.500  0.000
Lu  0.500  0.999  0.000
Lu  0.668  0.834  0.500
I  0.667  0.333  0.500

Record 9
Starting from the GGA-PBE geometry in OQMD, the powder diffraction line list of Te2MoSe2I was calculated for λ = 1.5418 Å (Cu Kα).
Lines closer than 0.1° are merged.

Largest 6 diffraction maxima, by intensity, 5° ≤ 2θ ≤ 70°:
2θ = 12.2°, I 100
2θ = 27.0°, I 41
2θ = 32.1°, I 25
2θ = 24.5°, I 25
2θ = 12.7°, I 24
2θ = 30.9°, I 22

Atomic structure:
Cell: 6.702 8.407 8.634 Å, 117.60 98.38 104.43°
Element x y z (fractional)
Te  0.027  0.452  0.221
Te  0.125  0.812  0.147
Te  0.875  0.188  0.853
Te  0.973  0.548  0.779
Mo  0.286  0.500  0.000
Mo  0.714  0.500  0.000
Se  0.392  0.329  0.708
Se  0.461  0.315  0.106
Se  0.539  0.685  0.894
Se  0.608  0.671  0.292
I  0.241  0.909  0.611
I  0.759  0.091  0.389

Record 10
Starting from the GGA-PBE geometry in OQMD, the powder diffraction line list of Te2MoSe2I was calculated for λ = 1.5418 Å (Cu Kα).
Lines closer than 0.1° are merged.

Largest 6 diffraction maxima, by intensity, 5° ≤ 2θ ≤ 70°:
2θ = 12.1°, I 100
2θ = 27.1°, I 45
2θ = 33.2°, I 40
2θ = 12.4°, I 39
2θ = 12.3°, I 36
2θ = 27.3°, I 27

Atomic structure:
Cell: 6.659 8.518 8.614 Å, 117.74 104.22 98.17°
Element x y z (fractional)
Te  0.049  0.399  0.209
Te  0.119  0.819  0.191
Te  0.881  0.181  0.809
Te  0.951  0.601  0.791
Mo  0.225  0.500  0.999
Mo  0.775  0.500  0.001
Se  0.391  0.378  0.724
Se  0.480  0.302  0.051
Se  0.520  0.698  0.949
Se  0.609  0.622  0.276
I  0.265  0.895  0.605
I  0.735  0.105  0.395

Record 11
Starting from the GGA-PBE geometry in OQMD, the powder diffraction line list of Tl2MoI2 was calculated for λ = 1.5418 Å (Cu Kα).
Lines closer than 0.1° are merged.

Largest 6 diffraction maxima, by intensity, 5° ≤ 2θ ≤ 70°:
2θ = 31.9°, I 100
2θ = 35.8°, I 62
2θ = 35.9°, I 62
2θ = 13.3°, I 59
2θ = 27.8°, I 59
2θ = 25.1°, I 54

Atomic structure:
Cell: 3.692 6.819 6.885 Å, 102.66 105.53 90.20°
Element x y z (fractional)
Tl  0.000  0.000  0.000
Tl  0.325  0.659  0.654
Mo  0.662  0.828  0.325
I  0.060  0.536  0.126
I  0.264  0.120  0.526

Record 12
Starting from the GGA-PBE geometry in OQMD, the powder diffraction line list of NaNd4I7N2 was calculated for λ = 1.5418 Å (Cu Kα).
Lines closer than 0.1° are merged.

Largest 6 diffraction maxima, by intensity, 5° ≤ 2θ ≤ 70°:
2θ = 28.8°, I 100
2θ = 10.1°, I 33
2θ = 28.2°, I 23
2θ = 29.6°, I 21
2θ = 26.7°, I 18
2θ = 32.4°, I 15

Atomic structure:
Cell: 14.291 11.054 12.064 Å, 90.00 90.00 90.00°
Element x y z (fractional)
Na  0.096  0.048  0.000
Na  0.404  0.548  0.500
Na  0.596  0.452  0.000
Na  0.904  0.952  0.500
Nd  0.084  0.375  0.332
Nd  0.086  0.623  0.567
Nd  0.088  0.395  0.810
Nd  0.102  0.586  0.073
Nd  0.398  0.086  0.573
Nd  0.412  0.895  0.310
Nd  0.414  0.123  0.067
Nd  0.416  0.875  0.832
Nd  0.584  0.125  0.332
Nd  0.586  0.877  0.567
Nd  0.588  0.105  0.810
Nd  0.602  0.914  0.073
Nd  0.898  0.414  0.573
Nd  0.912  0.605  0.310
Nd  0.914  0.377  0.067
Nd  0.916  0.625  0.832
I  0.015  0.850  0.709
I  0.025  0.187  0.541
I  0.050  0.820  0.362
I  0.206  0.312  0.045
I  0.226  0.633  0.845
I  0.233  0.405  0.586
I  0.249  0.567  0.286
I  0.251  0.067  0.786
I  0.267  0.905  0.086
I  0.274  0.133  0.345
I  0.294  0.812  0.545
I  0.450  0.320  0.862
I  0.475  0.687  0.041
I  0.485  0.350  0.209
I  0.515  0.650  0.709
I  0.525  0.313  0.541
I  0.550  0.680  0.362
I  0.706  0.188  0.045
I  0.726  0.867  0.845
I  0.733  0.095  0.586
I  0.749  0.933  0.286
I  0.751  0.433  0.786
I  0.767  0.595  0.086
I  0.774  0.367  0.345
I  0.794  0.688  0.545
I  0.950  0.180  0.862
I  0.975  0.813  0.041
I  0.985  0.150  0.209
N  0.003  0.485  0.196
N  0.003  0.495  0.945
N  0.497  0.985  0.696
N  0.497  0.995  0.445
N  0.503  0.005  0.945
N  0.503  0.015  0.196
N  0.997  0.505  0.445
N  0.997  0.515  0.696

Please write out number 8 again, unchanged.
Starting from the GGA-PBE geometry in OQMD, the powder diffraction line list of TmLu6I was calculated for λ = 1.5418 Å (Cu Kα).
Lines closer than 0.1° are merged.

Largest 6 diffraction maxima, by intensity, 5° ≤ 2θ ≤ 70°:
2θ = 33.9°, I 100
2θ = 32.2°, I 25
2θ = 29.8°, I 24
2θ = 63.3°, I 22
2θ = 58.6°, I 21
2θ = 52.8°, I 19

Atomic structure:
Cell: 6.932 6.932 5.553 Å, 90.00 90.00 120.00°
Element x y z (fractional)
Tm  0.000  0.000  0.000
Lu  0.001  0.500  0.000
Lu  0.166  0.332  0.500
Lu  0.166  0.834  0.500
Lu  0.500  0.500  0.000
Lu  0.500  0.999  0.000
Lu  0.668  0.834  0.500
I  0.667  0.333  0.500